Starting from DFT lattice parameters and positions (PBE), the powder XRD pattern of Tb3DyYHo was calculated for λ = 1.5418 Å (Cu Kα).
No peak broadening, texture or thermal motion is included.

Atomic structure:
a = 10.2926 Å, b = 10.2926 Å, c = 6.8844 Å
α = 90.21°, β = 90.21°, γ = 32.18°
Fractional positions:
Tb (0.0191, 0.0191, 0.2450)
Tb (0.2814, 0.2814, 0.2526)
Tb (0.3369, 0.3369, 0.7580)
Tb (0.6631, 0.6631, 0.2420)
Tb (0.7186, 0.7186, 0.7474)
Tb (0.9809, 0.9809, 0.7550)
Dy (0.4446, 0.4446, 0.2428)
Dy (0.5554, 0.5554, 0.7572)
Y (0.1465, 0.1465, 0.5271)
Y (0.8535, 0.8535, 0.4729)
Ho (0.1479, 0.1479, 0.9689)
Ho (0.8521, 0.8521, 0.0311)

Largest 12 diffraction maxima, by angle, 10° ≤ 2θ ≤ 80°:
25.88°, intensity 21; 27.05°, intensity 13; 30.41°, intensity 100; 30.67°, intensity 22; 31.36°, intensity 66; 31.61°, intensity 13; 33.30°, intensity 81; 35.45°, intensity 34; 41.09°, intensity 13; 55.25°, intensity 14; 57.06°, intensity 17; 63.08°, intensity 15

=====

Starting from DFT lattice parameters and positions (PBE), the powder XRD pattern of Tb2DyYHo6 was calculated for λ = 1.5418 Å (Cu Kα).
No peak broadening, texture or thermal motion is included.

Atomic structure:
a = 8.7493 Å, b = 8.7493 Å, c = 9.5391 Å
α = 94.05°, β = 94.05°, γ = 118.26°
Fractional positions:
Tb (0.1953, 0.3030, 0.0433)
Tb (0.3030, 0.1953, 0.5433)
Tb (0.6970, 0.8047, 0.4567)
Tb (0.8047, 0.6970, 0.9567)
Dy (0.4086, 0.5914, 0.7500)
Dy (0.5914, 0.4086, 0.2500)
Y (0.0218, 0.9782, 0.2500)
Y (0.9782, 0.0218, 0.7500)
Ho (0.0214, 0.5719, 0.1853)
Ho (0.1263, 0.7493, 0.5563)
Ho (0.2507, 0.8737, 0.9437)
Ho (0.2895, 0.5015, 0.3800)
Ho (0.4281, 0.9786, 0.3147)
Ho (0.4985, 0.7105, 0.1200)
Ho (0.5015, 0.2895, 0.8800)
Ho (0.5719, 0.0214, 0.6853)
Ho (0.7105, 0.4985, 0.6200)
Ho (0.7493, 0.1263, 0.0563)
Ho (0.8737, 0.2507, 0.4437)
Ho (0.9786, 0.4281, 0.8147)

Largest 12 diffraction maxima, by angle, 10° ≤ 2θ ≤ 80°:
28.78°, intensity 34; 30.79°, intensity 46; 30.93°, intensity 69; 31.43°, intensity 47; 31.79°, intensity 100; 32.45°, intensity 18; 33.96°, intensity 65; 34.68°, intensity 15; 38.50°, intensity 19; 51.14°, intensity 15; 57.05°, intensity 15; 61.06°, intensity 19

=====

Starting from DFT lattice parameters and positions (PBE), the powder XRD pattern of TbDyY2Ho2 was calculated for λ = 1.5418 Å (Cu Kα).
No peak broadening, texture or thermal motion is included.

Atomic structure:
a = 6.5214 Å, b = 17.7086 Å, c = 3.3846 Å
α = 90.00°, β = 90.00°, γ = 90.00°
Fractional positions:
Tb (0.0000, 0.0000, 0.0000)
Tb (0.5000, 0.5000, 0.5000)
Dy (0.0000, 0.5000, 0.0000)
Dy (0.5000, 0.0000, 0.5000)
Y (0.2285, 0.1850, 0.0000)
Y (0.2715, 0.6850, 0.5000)
Y (0.7285, 0.3150, 0.5000)
Y (0.7715, 0.8150, 0.0000)
Ho (0.2268, 0.3535, 0.5000)
Ho (0.2732, 0.8535, 0.0000)
Ho (0.7268, 0.1465, 0.0000)
Ho (0.7732, 0.6465, 0.5000)

Largest 12 diffraction maxima, by angle, 10° ≤ 2θ ≤ 80°:
16.89°, intensity 42; 26.82°, intensity 33; 29.19°, intensity 100; 29.74°, intensity 30; 30.28°, intensity 81; 30.44°, intensity 75; 31.45°, intensity 60; 33.32°, intensity 29; 34.15°, intensity 86; 36.13°, intensity 53; 41.38°, intensity 58; 54.21°, intensity 28